[1]
Computed PXRD pattern
Compound: Tm4SbH
Radiation: Cu Kα X-rays
Structure: a structure optimized by DFT (PBE)

Cell and atoms:
```
Tm4SbH
1.0
-3.2862 3.2862 7.0016
3.2862 -3.2862 7.0016
3.2862 3.2862 -7.0016
Tm Sb H
8 2 2
Direct
0.1585 0.8087 0.8756
0.2172 0.3415 0.1502
0.3087 0.9331 0.6502
0.4331 0.2828 0.6244
0.5669 0.7172 0.3756
0.6913 0.0669 0.3498
0.7828 0.6585 0.8498
0.8415 0.1913 0.1244
0.1250 0.3750 0.7500
0.8750 0.6250 0.2500
0.3750 0.1250 0.2500
0.6250 0.8750 0.7500
```

Main lines, most intense first (10 to 90 degrees two-theta):
2θ (°), Rel. int.
31.09, 100
32.01, 86
36.11, 70
34.82, 30
59.56, 29
30.04, 26
50.49, 23
57.62, 22
27.14, 21
37.54, 20

=====

[2]
Computed PXRD pattern
Compound: Th3Tl4Te8
Radiation: Cu Kα X-rays
Structure: a structure optimized by DFT (PBE)

Cell and atoms:
```
Th3Tl4Te8
1.0
4.6431 2.6807 8.6618
-4.6431 2.6807 8.6618
0.0000 -5.3614 8.6618
Th Tl Te
3 4 8
Direct
0.0000 0.5000 0.5000
0.5000 0.0000 0.5000
0.5000 0.5000 0.0000
0.0000 0.0000 0.0000
0.1355 0.1355 0.1355
0.5000 0.5000 0.5000
0.8645 0.8645 0.8645
0.2491 0.2491 0.7090
0.2491 0.7090 0.2491
0.2678 0.2678 0.2678
0.2910 0.7509 0.7509
0.7090 0.2491 0.2491
0.7322 0.7322 0.7322
0.7509 0.2910 0.7509
0.7509 0.7509 0.2910
```

Main lines, most intense first (10 to 90 degrees two-theta):
2θ (°), Rel. int.
26.06, 100
38.79, 81
35.53, 80
32.84, 60
10.21, 42
22.37, 40
21.72, 35
19.11, 29
53.61, 24
68.11, 23

=====

[3]
Computed PXRD pattern
Compound: Rb2In3Sn4Hg
Radiation: Cu Kα X-rays
Structure: a structure optimized by DFT (PBE)

Cell and atoms:
```
Rb2In3Sn4Hg
1.0
5.2046 0.0000 0.0000
0.0000 5.2046 0.0000
0.0000 0.0000 12.1024
Rb In Sn Hg
2 3 4 1
Direct
0.0000 0.5000 0.2457
0.5000 0.0000 0.7543
0.0000 0.0000 0.0000
0.0000 0.5000 0.6312
0.5000 0.0000 0.3688
0.0000 0.0000 0.5000
0.0000 0.5000 0.8725
0.5000 0.0000 0.1275
0.5000 0.5000 0.5000
0.5000 0.5000 0.0000
```

Main lines, most intense first (10 to 90 degrees two-theta):
2θ (°), Rel. int.
28.38, 100
34.46, 77
38.52, 58
27.98, 43
49.54, 28
58.08, 27
44.96, 26
14.64, 26
64.45, 26
41.13, 20

=====

[4]
Computed PXRD pattern
Compound: Tb5Pm3Y4
Radiation: Cu Kα X-rays
Structure: a structure optimized by DFT (PBE)

Cell and atoms:
```
Tb5Pm3Y4
1.0
6.2107 0.0000 0.0000
-0.0194 7.1729 0.0000
-0.0062 -0.0102 8.7818
Tb Pm Y
5 3 4
Direct
0.0000 0.0000 0.0000
0.3345 0.5006 0.3332
0.4998 0.2496 0.9995
0.5002 0.7504 0.0005
0.6655 0.4994 0.6668
0.0000 0.5000 0.0000
0.1670 0.2503 0.6670
0.8330 0.7497 0.3330
0.1674 0.7499 0.6667
0.3329 0.0000 0.3326
0.6671 0.0000 0.6674
0.8326 0.2501 0.3333
```

Main lines, most intense first (10 to 90 degrees two-theta):
2θ (°), Rel. int.
30.53, 100
35.40, 51
50.92, 30
60.52, 25
60.62, 18
83.01, 10
63.58, 9
51.00, 6
85.57, 5
85.66, 5

=====

[5]
Computed PXRD pattern
Compound: Tm2ZrPb2
Radiation: Cu Kα X-rays
Structure: a structure optimized by DFT (PBE)

Cell and atoms:
```
Tm2ZrPb2
1.0
6.3230 0.0000 0.0000
0.0000 4.5272 0.0000
0.0000 0.0000 9.9016
Tm Zr Pb
4 2 4
Direct
0.2500 0.0000 0.1504
0.2500 0.5000 0.7226
0.7500 0.0000 0.8496
0.7500 0.5000 0.2774
0.0000 0.0000 0.5000
0.5000 0.0000 0.5000
0.0000 0.5000 0.0000
0.2500 0.5000 0.3753
0.5000 0.5000 0.0000
0.7500 0.5000 0.6247
```

Main lines, most intense first (10 to 90 degrees two-theta):
2θ (°), Rel. int.
33.61, 100
35.81, 76
30.26, 34
39.82, 31
19.61, 25
30.55, 21
53.09, 20
69.07, 16
46.60, 14
25.82, 13

=====

[6]
Computed PXRD pattern
Compound: Ba2CeO3
Radiation: Cu Kα X-rays
Structure: a structure optimized by DFT (PBE)

Cell and atoms:
```
Ba2CeO3
1.0
-2.0884 2.2571 7.0547
2.0884 -2.2571 7.0547
2.0884 2.2571 -7.0547
Ba Ce O
2 1 3
Direct
0.1528 0.1528 0.0000
0.8472 0.8472 0.0000
0.5000 0.5000 0.0000
0.0000 0.5000 0.5000
0.3381 0.3381 0.0000
0.6619 0.6619 0.0000
```

Main lines, most intense first (10 to 90 degrees two-theta):
2θ (°), Rel. int.
29.13, 100
28.58, 84
27.39, 77
48.81, 39
49.85, 36
52.02, 27
39.94, 24
38.27, 23
43.33, 19
56.51, 14